Record 1
This entry pairs a crystal structure of Na2Si3O7 with its theoretical powder diffractogram. Radiation: CuKα. Structure: a crystal structure in the Materials Project, relaxed with GGA-PBE.

Lattice parameters (Å, degrees): 9.009 4.905 11.705 90.00 102.24 90.00
Space group C2/c (No. 15)
Unique sites:
Na 0.146 0.206 0.182
Si 0.043 0.284 0.885
Si 0.250 0.250 0.500
O 0.000 0.148 0.750
O 0.123 0.367 0.589
O 0.135 0.046 0.963
O 0.141 0.438 0.373

Largest 10 diffraction maxima, in order of rising 2θ, 10 to 90 degrees two-theta:
hkl  2theta  d_spacing  intensity
0 0 2  15.5  5.720  30
2 0 -2  22.7  3.912  24
1 1 1  22.9  3.883  45
1 1 3  33.0  2.713  94
2 0 -4  33.6  2.671  39
3 1 -1  35.1  2.559  100
1 1 4  39.7  2.273  45
2 2 -4  50.5  1.806  18
4 2 2  61.3  1.513  22
5 1 -5  62.3  1.491  23

---

Record 2
This entry pairs a crystal structure of Na2Si2O5 with its theoretical powder diffractogram. Radiation: CuKα. Structure: a crystal structure in the Materials Project, relaxed with GGA-PBE.

Lattice parameters (Å, degrees): 9.536 5.651 8.464 90.00 90.00 90.00
Space group Pca2_1 (No. 29)
Unique sites:
Na 0.011 0.062 0.000
Na 0.246 0.913 0.775
Si 0.047 0.451 0.271
Si 0.192 0.370 0.578
O 0.001 0.819 0.768
O 0.080 0.358 0.730
O 0.115 0.542 0.443
O 0.172 0.527 0.141
O 0.233 0.109 0.524

Largest 10 diffraction maxima, in order of rising 2θ, 10 to 90 degrees two-theta:
hkl  2theta  d_spacing  intensity
0 1 0  15.7  5.651  40
2 0 1  21.4  4.154  35
2 1 1  26.6  3.347  37
1 1 2  28.0  3.192  44
2 0 2  28.2  3.165  35
0 2 0  31.7  2.826  34
2 1 2  32.4  2.761  100
3 1 1  34.0  2.633  37
3 1 2  38.9  2.318  35
4 1 0  41.1  2.197  35

---

Record 3
This entry pairs a crystal structure of Na2Si2O5 with its theoretical powder diffractogram. Radiation: CuKα. Structure: a crystal structure in the Materials Project, relaxed with GGA-PBE.

Lattice parameters (Å, degrees): 8.221 4.921 12.466 90.00 104.24 90.00
Space group P2_1/c (No. 14)
Unique sites:
Na 0.121 0.246 0.057
Na 0.365 0.726 0.528
Si 0.097 0.708 0.223
Si 0.472 0.688 0.817
O 0.045 0.116 0.732
O 0.109 0.730 0.599
O 0.274 0.747 0.819
O 0.407 0.248 0.564
O 0.485 0.137 0.286

Largest 10 diffraction maxima, in order of rising 2θ, 10 to 90 degrees two-theta:
hkl  2theta  d_spacing  intensity
0 0 2  14.7  6.041  62
1 0 2  20.5  4.329  26
1 1 0  21.2  4.187  57
2 0 0  22.3  3.984  72
1 1 -2  24.2  3.670  81
1 0 -4  28.9  3.088  37
2 0 2  29.8  3.002  72
3 0 -2  33.3  2.687  44
1 0 4  34.3  2.617  36
0 2 0  36.5  2.460  100